(1)
For MnIrRh2S8, DFT lattice parameters and positions (GGA-PBE) gives the theoretical powder XRD pattern in this record (λ = 1.5418 Å (Cu Kα)).
Peak positions follow from Bragg's law for the DFT cell and can differ from measured ones.

Crystal structure
Cell: 4.6852 7.1861 5.6375 Å, 90.00 90.52 90.00°
Fractional coordinates of all 12 atoms:
Mn 0.0000 0.0000 0.0000
Ir 0.0000 0.5000 0.0000
Rh 0.5000 0.2449 0.5000
Rh 0.5000 0.7551 0.5000
S 0.1941 0.0000 0.6344
S 0.2044 0.5000 0.6195
S 0.2786 0.2389 0.1200
S 0.2786 0.7611 0.1200
S 0.7214 0.2389 0.8800
S 0.7214 0.7611 0.8800
S 0.7956 0.5000 0.3805
S 0.8059 0.0000 0.3656

Largest 10 diffraction maxima, by intensity, 2θ = 5–70°:
d_spacing	two_theta	I (rel.)
2.851	31.38	100
3.619	24.60	57
3.587	24.82	56
1.849	49.29	41
2.819	31.75	38
1.858	49.04	36
1.999	45.38	32
1.796	50.85	31
3.030	29.48	30
1.665	55.16	28

---

(2)
For Ac2PmSmTe5, DFT lattice parameters and positions (GGA-PBE) gives the theoretical powder XRD pattern in this record (λ = 1.5418 Å (Cu Kα)).
Peak positions follow from Bragg's law for the DFT cell and can differ from measured ones.

Crystal structure
Cell: 5.6063 5.6063 11.8302 Å, 90.00 90.00 90.00°
Fractional coordinates of all 9 atoms:
Ac 0.0000 0.0000 0.1940
Ac 0.0000 0.0000 0.8060
Pm 0.5000 0.5000 0.5000
Sm 0.5000 0.5000 0.0000
Te 0.0000 0.0000 0.5000
Te 0.0000 0.5000 0.0000
Te 0.5000 0.0000 0.0000
Te 0.5000 0.5000 0.2540
Te 0.5000 0.5000 0.7460

Largest 10 diffraction maxima, by intensity, 2θ = 5–70°:
d_spacing	two_theta	I (rel.)
2.800	31.96	100
3.964	22.43	62
11.830	7.47	34
3.225	27.66	28
2.035	44.53	27
1.982	45.78	23
2.958	30.22	19
3.293	27.08	18
2.116	42.74	17
1.617	56.94	17

---

(3)
For LaHoCoNi, DFT lattice parameters and positions (GGA-PBE) gives the theoretical powder XRD pattern in this record (λ = 1.5418 Å (Cu Kα)).
Peak positions follow from Bragg's law for the DFT cell and can differ from measured ones.

Crystal structure
Cell: 4.8509 4.8509 4.8509 Å, 60.00 60.00 60.00°
Fractional coordinates of all 4 atoms:
La 0.0000 0.0000 0.0000
Ho 0.5000 0.5000 0.5000
Co 0.2500 0.2500 0.2500
Ni 0.7500 0.7500 0.7500

Largest 7 diffraction maxima, by intensity, 2θ = 5–70°:
d_spacing	two_theta	I (rel.)
2.425	37.07	100
1.400	66.81	34
3.430	25.98	20
1.715	53.42	17
1.534	60.34	8
1.980	45.82	6
3.961	22.45	1

---

(4)
For ZrCrAg2, DFT lattice parameters and positions (GGA-PBE) gives the theoretical powder XRD pattern in this record (λ = 1.5418 Å (Cu Kα)).
Peak positions follow from Bragg's law for the DFT cell and can differ from measured ones.

Crystal structure
Cell: 4.0032 4.0220 4.4207 Å, 90.00 90.00 90.00°
Fractional coordinates of all 4 atoms:
Zr 0.0000 0.0000 0.0000
Cr 0.5000 0.5000 0.0000
Ag 0.0000 0.5000 0.5000
Ag 0.5000 0.0000 0.5000

Largest 10 diffraction maxima, by intensity, 2θ = 5–70°:
d_spacing	two_theta	I (rel.)
2.388	37.67	100
2.210	40.82	20
2.011	45.08	15
2.002	45.31	14
1.487	62.43	11
1.484	62.61	10
1.419	65.83	9
4.421	20.09	5
2.837	31.53	4
2.971	30.08	2

---

(5)
For PaRu3O8, DFT lattice parameters and positions (GGA-PBE) gives the theoretical powder XRD pattern in this record (λ = 1.5418 Å (Cu Kα)).
Peak positions follow from Bragg's law for the DFT cell and can differ from measured ones.

Crystal structure
Cell: 6.5950 6.2187 6.2187 Å, 36.95 90.00 90.00°
Fractional coordinates of all 12 atoms:
Pa 0.0000 0.0000 0.0000
Ru 0.0000 0.7073 0.7073
Ru 0.5000 0.5458 0.5458
Ru 0.5000 0.8482 0.8482
O 0.0000 0.1907 0.1907
O 0.1847 0.5503 0.5503
O 0.1897 0.8498 0.8498
O 0.5000 0.0183 0.0183
O 0.5000 0.3778 0.3778
O 0.5000 0.6970 0.6970
O 0.8103 0.8498 0.8498
O 0.8153 0.5503 0.5503

Largest 10 diffraction maxima, by intensity, 2θ = 5–70°:
d_spacing	two_theta	I (rel.)
2.565	34.99	100
3.298	27.04	90
3.738	23.80	64
3.252	27.42	63
2.692	33.28	51
1.725	53.08	47
5.898	15.02	43
2.473	36.33	32
1.971	46.06	29
1.692	54.22	26

---

(6)
For Cs2BiI5, DFT lattice parameters and positions (GGA-PBE) gives the theoretical powder XRD pattern in this record (λ = 1.5418 Å (Cu Kα)).
Peak positions follow from Bragg's law for the DFT cell and can differ from measured ones.

Crystal structure
Cell: 8.4015 8.4015 8.4015 Å, 114.21 114.21 100.36°
Fractional coordinates of all 8 atoms:
Cs 0.0000 0.5000 0.5000
Cs 0.5000 0.0000 0.5000
Bi 0.2725 0.2725 0.0000
I 0.0079 0.0079 0.5225
I 0.0079 0.4855 0.0000
I 0.4855 0.0079 0.0000
I 0.4855 0.4855 0.4775
I 0.5376 0.5376 0.0000

Largest 10 diffraction maxima, by intensity, 2θ = 5–70°:
d_spacing	two_theta	I (rel.)
3.226	27.65	100
3.480	25.60	94
6.960	12.72	68
2.067	43.81	63
2.691	33.29	39
4.132	21.50	38
2.281	39.50	38
1.908	47.66	31
1.740	52.60	28
3.816	23.31	22

---

(7)
For CaGa2CuPd, DFT lattice parameters and positions (GGA-PBE) gives the theoretical powder XRD pattern in this record (λ = 1.5418 Å (Cu Kα)).
Peak positions follow from Bragg's law for the DFT cell and can differ from measured ones.

Crystal structure
Cell: 5.9278 5.9278 5.9278 Å, 137.17 137.17 62.18°
Fractional coordinates of all 5 atoms:
Ca 0.0000 0.0000 0.0000
Ga 0.3730 0.3730 0.0000
Ga 0.6270 0.6270 0.0000
Cu 0.2500 0.7500 0.5000
Pd 0.7500 0.2500 0.5000

Largest 10 diffraction maxima, by intensity, 2θ = 5–70°:
d_spacing	two_theta	I (rel.)
2.621	34.21	100
2.165	41.73	82
1.954	46.48	71
5.076	17.47	54
2.666	33.61	54
3.982	22.33	32
1.531	60.49	26
1.680	54.61	26
1.991	45.56	18
1.481	62.74	18

---

(8)
For Ba6Tb2Al4O15, DFT lattice parameters and positions (GGA-PBE) gives the theoretical powder XRD pattern in this record (λ = 1.5418 Å (Cu Kα)).
Peak positions follow from Bragg's law for the DFT cell and can differ from measured ones.

Crystal structure
Cell: 7.9422 5.9777 18.5721 Å, 90.00 91.58 90.00°
Fractional coordinates of all 54 atoms:
Ba 0.0000 0.1760 0.2500
Ba 0.0000 0.8240 0.7500
Ba 0.0015 0.2557 0.9172
Ba 0.0015 0.7443 0.4172
Ba 0.4699 0.2477 0.9097
Ba 0.4699 0.7523 0.4097
Ba 0.5000 0.2295 0.2500
Ba 0.5000 0.7705 0.7500
Ba 0.5301 0.2477 0.5903
Ba 0.5301 0.7523 0.0903
Ba 0.9985 0.2557 0.5828
Ba 0.9985 0.7443 0.0828
Tb 0.2524 0.2490 0.0893
Tb 0.2524 0.7510 0.5893
Tb 0.7476 0.2490 0.4107
Tb 0.7476 0.7510 0.9107
Al 0.2522 0.2471 0.4439
Al 0.2522 0.7529 0.9439
Al 0.2793 0.2677 0.7321
Al 0.2793 0.7323 0.2321
Al 0.7207 0.2677 0.7679
Al 0.7207 0.7323 0.2679
Al 0.7478 0.2471 0.0561
Al 0.7478 0.7529 0.5561
O 0.0399 0.2550 0.4078
O 0.0399 0.7450 0.9078
O 0.1915 0.1798 0.8125
O 0.1915 0.8202 0.3125
O 0.2295 0.4743 0.1890
O 0.2295 0.5257 0.6890
O 0.2552 0.0485 0.6664
O 0.2552 0.9515 0.1664
O 0.2638 0.0026 0.9975
O 0.2638 0.4816 0.5051
O 0.2638 0.5184 0.0051
O 0.2638 0.9974 0.4975
O 0.4427 0.2623 0.3936
O 0.4427 0.7377 0.8936
O 0.5000 0.2900 0.7500
O 0.5000 0.7100 0.2500
O 0.5573 0.2623 0.1064
O 0.5573 0.7377 0.6064
O 0.7362 0.0026 0.5025
O 0.7362 0.4816 0.9949
O 0.7362 0.5184 0.4949
O 0.7362 0.9974 0.0025
O 0.7448 0.0485 0.8336
O 0.7448 0.9515 0.3336
O 0.7705 0.4743 0.3110
O 0.7705 0.5257 0.8110
O 0.8085 0.1798 0.6875
O 0.8085 0.8202 0.1875
O 0.9601 0.2550 0.0922
O 0.9601 0.7450 0.5922

Largest 10 diffraction maxima, by intensity, 2θ = 5–70°:
d_spacing	two_theta	I (rel.)
2.889	30.95	100
2.945	30.35	98
3.094	28.85	57
2.989	29.89	56
2.150	42.03	54
1.985	45.71	24
1.769	51.69	22
1.717	53.36	17
1.732	52.84	17
1.706	53.74	17

---

(9)
For LiPrSiNi, DFT lattice parameters and positions (GGA-PBE) gives the theoretical powder XRD pattern in this record (λ = 1.5418 Å (Cu Kα)).
Peak positions follow from Bragg's law for the DFT cell and can differ from measured ones.

Crystal structure
Cell: 4.5545 4.5545 4.5545 Å, 60.00 60.00 60.00°
Fractional coordinates of all 4 atoms:
Li 0.0000 0.0000 0.0000
Pr 0.7500 0.7500 0.7500
Si 0.2500 0.2500 0.2500
Ni 0.5000 0.5000 0.5000

Largest 8 diffraction maxima, by intensity, 2θ = 5–70°:
d_spacing	two_theta	I (rel.)
2.277	39.58	100
3.719	23.93	70
1.942	46.78	35
3.220	27.70	23
1.610	57.21	17
1.478	62.89	14
1.440	64.72	9
1.859	48.99	6

---

(10)
For Ho6TmTh2, DFT lattice parameters and positions (GGA-PBE) gives the theoretical powder XRD pattern in this record (λ = 1.5418 Å (Cu Kα)).
Peak positions follow from Bragg's law for the DFT cell and can differ from measured ones.

Crystal structure
Cell: 3.5477 3.5477 26.1107 Å, 90.00 90.00 120.00°
Fractional coordinates of all 9 atoms:
Ho 0.0000 0.0000 0.0637
Ho 0.0000 0.0000 0.2846
Ho 0.0000 0.0000 0.7154
Ho 0.0000 0.0000 0.9363
Ho 0.3333 0.6667 0.3928
Ho 0.3333 0.6667 0.6072
Tm 0.0000 0.0000 0.5000
Th 0.3333 0.6667 0.1719
Th 0.3333 0.6667 0.8281

Largest 10 diffraction maxima, by intensity, 2θ = 5–70°:
d_spacing	two_theta	I (rel.)
2.648	33.85	100
2.900	30.83	64
2.780	32.20	56
3.072	29.06	44
1.513	61.25	43
1.774	51.51	41
1.594	57.83	32
2.109	42.87	28
1.474	63.08	17
2.510	35.78	9